1.
Calculated powder diffraction line list of MgFe2O2F2 for Cu Kα (λ = 1.5418 Å), from a crystal structure in the Materials Project, relaxed with GGA+U.

Crystal structure
a = 3.1766 Å, b = 4.0696 Å, c = 6.3544 Å
α = 90.00°, β = 90.00°, γ = 90.00°
Space group Pmm2 (No. 25)
Symmetry-distinct sites (fractional):
Mg  0.0000  0.0000  0.0000
Fe  0.0000  0.0000  0.5084
Fe  0.5000  0.5000  0.2824
O  0.0000  0.5000  0.4840
O  0.5000  0.0000  0.2233
F  0.0000  0.5000  0.0185
F  0.5000  0.0000  0.7809

The 8 most intense peaks (2θ = 15–90°), low angle first:
h k l	2θ/deg	I/Imax
0 1 1	26.00	37
0 1 2	35.86	34
1 1 1	38.65	30
1 0 2	40.14	100
0 2 0	44.53	38
2 0 0	58.07	28
1 2 2	61.49	47
2 2 0	76.01	22



2.
Calculated powder diffraction line list of Er8Mn3Mo5O28 for Cu Kα (λ = 1.5418 Å), from a crystal structure in the Materials Project, relaxed with GGA+U.

Crystal structure
a = 12.8847 Å, b = 7.5153 Å, c = 11.6330 Å
α = 90.00°, β = 100.40°, γ = 90.00°
Space group C2 (No. 5)
Symmetry-distinct sites (fractional):
Er  0.1175  0.0000  0.2258
Er  0.1202  0.2445  0.7502
Er  0.1199  0.7463  0.7148
Er  0.1225  0.4860  0.2570
Mn  0.0000  0.0103  0.5000
Mn  0.0000  0.2793  0.0000
Mn  0.0000  0.4482  0.5000
Mo  0.0000  0.7289  0.0000
Mo  0.2493  0.4843  0.0045
Mo  0.2492  0.7486  0.4903
O  0.0041  0.7391  0.1662
O  0.0147  0.0025  0.6691
O  0.0274  0.2512  0.1723
O  0.0300  0.4915  0.6710
O  0.1035  0.5283  0.0373
O  0.1073  0.9297  0.0304
O  0.1087  0.2167  0.5382
O  0.1136  0.8165  0.5220
O  0.1932  0.2373  0.9605
O  0.1928  0.5035  0.4579
O  0.2109  0.2143  0.3338
O  0.2120  0.5349  0.8397
O  0.2118  0.7676  0.3092
O  0.2148  0.9622  0.8232

The 8 most intense peaks (2θ = 15–90°), low angle first:
h k l	2θ/deg	I/Imax
0 0 2	15.49	19
2 2 1	29.40	100
4 0 -2	29.66	49
0 0 4	31.27	37
4 0 2	34.71	57
0 4 0	48.46	18
6 2 -1	48.85	33
2 2 5	50.98	21



3.
Calculated powder diffraction line list of Li3FeB2O6 for Cu Kα (λ = 1.5418 Å), from a crystal structure in the Materials Project, relaxed with GGA+U.

Crystal structure
a = 5.0391 Å, b = 6.4276 Å, c = 8.0468 Å
α = 73.88°, β = 89.33°, γ = 89.32°
Space group P1 (No. 1)
Symmetry-distinct sites (fractional):
Li  0.0000  0.0000  0.0000
Li  0.0020  0.2828  0.6432
Li  0.1500  0.1175  0.3313
Li  0.5041  0.9239  0.1858
Li  0.6515  0.0563  0.5189
Li  0.6603  0.7606  0.8724
Fe  0.1792  0.4662  0.9845
Fe  0.4804  0.5750  0.5308
B  0.1660  0.8523  0.6843
B  0.4933  0.1878  0.8292
B  0.6628  0.3394  0.1710
B  0.9940  0.7023  0.3448
O  0.0374  0.0181  0.5728
O  0.0460  0.7356  0.8408
O  0.1247  0.5410  0.4731
O  0.1272  0.8599  0.2270
O  0.2279  0.2477  0.8596
O  0.4331  0.7939  0.6552
O  0.5291  0.1834  0.2892
O  0.5329  0.5028  0.0437
O  0.6094  0.2988  0.6694
O  0.6240  0.0259  0.9434
O  0.7160  0.6977  0.3490
O  0.9412  0.3396  0.1640

The 8 most intense peaks (2θ = 15–90°), low angle first:
h k l	2θ/deg	I/Imax
1 0 1	20.96	41
1 1 1	23.50	100
1 1 -1	27.34	31
1 1 2	29.29	34
-1 1 2	29.74	33
0 2 2	31.68	98
1 -2 0	34.17	28
1 1 -2	35.44	60



4.
Calculated powder diffraction line list of Li2CrFeO4 for Cu Kα (λ = 1.5418 Å), from a crystal structure in the Materials Project, relaxed with GGA+U.

Crystal structure
a = 9.8918 Å, b = 2.9747 Å, c = 5.1524 Å
α = 90.00°, β = 99.97°, γ = 90.00°
Space group C2/m (No. 12)
Symmetry-distinct sites (fractional):
Li  0.2492  0.0000  0.2488
Cr  0.0000  0.5000  0.0000
Fe  0.0000  0.0000  0.5000
O  0.1128  0.0000  0.8724
O  0.1143  0.5000  0.3698

The 8 most intense peaks (2θ = 15–90°), low angle first:
h k l	2θ/deg	I/Imax
2 0 0	18.21	100
1 1 -1	35.38	42
4 0 0	36.97	17
2 0 2	42.96	81
4 0 2	56.75	16
5 1 1	62.31	22
0 2 0	62.44	22
2 2 0	65.63	14



5.
Calculated powder diffraction line list of Na3CrH14C6O16 for Cu Kα (λ = 1.5418 Å), from a crystal structure in the Materials Project, relaxed with GGA+U.

Crystal structure
a = 6.5088 Å, b = 7.7579 Å, c = 8.8340 Å
α = 78.64°, β = 82.43°, γ = 79.29°
Space group P-1 (No. 2)
Symmetry-distinct sites (fractional):
Na  0.0000  0.0000  0.0000
Na  0.2907  0.0534  0.6257
Cr  0.0000  0.5000  0.5000
H  0.0504  0.7579  0.7577
H  0.1076  0.0618  0.2807
H  0.2030  0.4518  0.9157
H  0.3059  0.4697  0.2082
H  0.3791  0.7746  0.9356
H  0.4016  0.6538  0.4500
H  0.4313  0.8474  0.0766
C  0.1804  0.3926  0.8157
C  0.2766  0.7682  0.4188
C  0.3673  0.3564  0.2967
O  0.0199  0.8831  0.7719
O  0.0917  0.7353  0.4149
O  0.1018  0.5107  0.7045
O  0.2317  0.2283  0.8214
O  0.2730  0.3483  0.4359
O  0.3199  0.8037  0.0388
O  0.3221  0.9232  0.3885
O  0.4771  0.7542  0.7395

The 8 most intense peaks (2θ = 15–90°), low angle first:
h k l	2θ/deg	I/Imax
1 1 1	17.73	92
-1 1 1	21.94	53
1 0 2	23.76	48
1 2 0	25.50	100
0 1 3	31.31	89
2 1 -1	32.15	76
2 -1 1	33.78	58
1 3 -1	40.07	53



6.
Calculated powder diffraction line list of Y2Mn2O7 for Cu Kα (λ = 1.5418 Å), from a crystal structure in the Materials Project, relaxed with GGA+U.

Crystal structure
a = 10.0575 Å, b = 10.0575 Å, c = 10.0575 Å
α = 90.00°, β = 90.00°, γ = 90.00°
Space group Fd-3m (No. 227, origin choice 2)
Symmetry-distinct sites (fractional):
Y  0.0000  0.0000  0.0000
Mn  0.0000  0.0000  0.5000
O  0.0799  0.3750  0.8750
O  0.1250  0.1250  0.1250

The 8 most intense peaks (2θ = 15–90°), low angle first:
h k l	2θ/deg	I/Imax
2 2 2	30.80	100
4 0 0	35.71	22
3 3 1	39.04	10
4 4 0	51.39	51
6 2 2	61.12	38
4 4 4	64.15	8
6 6 2	83.86	15
8 4 0	86.56	11



7.
Calculated powder diffraction line list of MgFe4Si2Sn7O16 for Cu Kα (λ = 1.5418 Å), from a crystal structure in the Materials Project, relaxed with GGA+U.

Crystal structure
a = 7.0309 Å, b = 7.0375 Å, c = 10.0285 Å
α = 89.85°, β = 89.90°, γ = 60.18°
Space group P-1 (No. 2)
Symmetry-distinct sites (fractional):
Mg  0.0000  0.0000  0.0000
Fe  0.0000  0.0000  0.5000
Fe  0.0000  0.5000  0.5000
Fe  0.5000  0.0000  0.0000
Fe  0.5000  0.5000  0.5000
Si  0.1684  0.6617  0.2536
Sn  0.1811  0.1809  0.1912
Sn  0.3313  0.3381  0.8240
Sn  0.3619  0.8201  0.8082
Sn  0.5000  0.0000  0.5000
O  0.0405  0.5316  0.2071
O  0.0490  0.9040  0.1870
O  0.1574  0.6860  0.8605
O  0.1596  0.6753  0.4185
O  0.1863  0.1598  0.3996
O  0.3427  0.8423  0.5999
O  0.3494  0.3074  0.6087
O  0.4276  0.5302  0.2100

The 8 most intense peaks (2θ = 15–90°), low angle first:
h k l	2θ/deg	I/Imax
0 1 -2	22.97	18
0 0 3	26.67	58
2 0 1	30.62	100
2 2 -1	30.72	40
0 2 -2	34.43	83
2 0 4	46.88	35
2 -2 0	51.85	17
2 4 0	52.00	33